Record 1
Simulated XRD peak list
Compound: Cs6Cr2O7
Radiation: λ = 1.5418 Å (Cu Kα)
Structure: a DFT-relaxed cell (GGA+U, the Materials Project)

```
Cs6Cr2O7
1.0
7.3530 0.0000 0.0000
0.0000 9.9321 0.0000
-7.2101 0.0000 10.0918
Cs Cr O
12 4 14
Direct
0.0461 0.1444 0.4165
0.0461 0.3556 0.9165
0.2031 0.5272 0.4505
0.2031 0.9728 0.9505
0.4040 0.2140 0.2799
0.4040 0.2860 0.7799
0.5960 0.7140 0.2201
0.5960 0.7860 0.7201
0.7969 0.0272 0.0495
0.7969 0.4728 0.5495
0.9539 0.6444 0.0835
0.9539 0.8556 0.5835
0.3271 0.6337 0.8722
0.3271 0.8663 0.3722
0.6729 0.1337 0.6278
0.6729 0.3663 0.1278
0.0759 0.6606 0.8617
0.0759 0.8394 0.3617
0.2658 0.5824 0.7158
0.2658 0.9176 0.2158
0.4991 0.7175 0.4308
0.4991 0.7825 0.9308
0.5000 0.0000 0.5000
0.5000 0.5000 0.0000
0.5009 0.2175 0.0692
0.5009 0.2825 0.5692
0.7342 0.0824 0.7842
0.7342 0.4176 0.2842
0.9241 0.1606 0.6383
0.9241 0.3394 0.1383
```

Principal peaks in the range 10 to 90 degrees two-theta, low angle first:
d 3.820, intensity 381; d 3.539, intensity 706; d 3.448, intensity 1000; d 3.276, intensity 714; d 3.179, intensity 907; d 3.146, intensity 959; d 3.075, intensity 900; d 2.952, intensity 568; d 2.909, intensity 704; d 2.844, intensity 417; d 2.597, intensity 648; d 2.384, intensity 449

=====

Record 2
Simulated XRD peak list
Compound: Li4Ni2C4SO16
Radiation: λ = 1.5418 Å (Cu Kα)
Structure: a DFT-relaxed cell (GGA+U, the Materials Project)

```
Li4Ni2C4SO16
1.0
0.0000 6.6144 7.0442
6.5070 0.0000 7.0442
6.5070 6.6144 0.0000
Li Ni C S O
8 4 8 2 32
Direct
0.0828 0.6672 0.6672
0.0844 0.6656 0.0844
0.3328 0.9172 0.9172
0.3344 0.9156 0.3344
0.6656 0.0844 0.6656
0.6672 0.0828 0.0828
0.9156 0.3344 0.9156
0.9172 0.3328 0.3328
0.0000 0.5000 0.5000
0.5000 0.0000 0.5000
0.5000 0.5000 0.0000
0.5000 0.5000 0.5000
0.2689 0.6578 0.2885
0.2848 0.2885 0.6578
0.2885 0.2848 0.2689
0.3422 0.7311 0.7152
0.6578 0.2689 0.2848
0.7115 0.7152 0.7311
0.7152 0.7115 0.3422
0.7311 0.3422 0.7115
0.1250 0.1250 0.1250
0.8750 0.8750 0.8750
0.0472 0.3186 0.0676
0.0666 0.0676 0.3186
0.0676 0.0666 0.0472
0.1356 0.6480 0.4210
0.1412 0.3056 0.6632
0.1408 0.4146 0.2779
0.2779 0.6667 0.1408
0.2954 0.4210 0.6480
0.3056 0.1412 0.3900
0.3186 0.0472 0.0666
0.3333 0.7221 0.5854
0.3368 0.6100 0.8588
0.3520 0.8644 0.7046
0.3900 0.6632 0.3056
0.4146 0.1408 0.6667
0.4210 0.2954 0.1356
0.5790 0.7046 0.8644
0.5854 0.8592 0.3333
0.6100 0.3368 0.6944
0.6480 0.1356 0.2954
0.6632 0.3900 0.1412
0.6667 0.2779 0.4146
0.6814 0.9528 0.9334
0.6944 0.8588 0.6100
0.7046 0.5790 0.3520
0.7221 0.3333 0.8592
0.8592 0.5854 0.7221
0.8588 0.6944 0.3368
0.8644 0.3520 0.5790
0.9324 0.9334 0.9528
0.9334 0.9324 0.6814
0.9528 0.6814 0.9324
```

Principal peaks in the range 10 to 90 degrees two-theta, low angle first:
d 7.748, intensity 1000; d 4.822, intensity 228; d 4.780, intensity 210; d 4.190, intensity 669; d 4.004, intensity 554; d 3.956, intensity 619; d 3.307, intensity 226; d 3.253, intensity 288; d 2.696, intensity 315; d 2.550, intensity 215; d 2.513, intensity 233; d 1.549, intensity 216

=====

Record 3
Simulated XRD peak list
Compound: Li9Mn2Co5O16
Radiation: λ = 1.5418 Å (Cu Kα)
Structure: a DFT-relaxed cell (GGA+U, the Materials Project)

```
Li9Mn2Co5O16
1.0
5.7859 0.0000 0.0000
-2.8926 5.1027 0.0000
-1.4728 -1.0081 9.6130
Li Mn Co O
9 2 5 16
Direct
0.0000 0.0000 0.0000
0.9995 0.4995 0.0009
0.4982 0.7499 0.4892
0.5007 0.2497 0.4901
0.5013 0.4968 0.9974
0.5041 0.0064 0.0003
0.7494 0.3746 0.2451
0.9955 0.7426 0.4896
0.9963 0.2538 0.4930
0.2488 0.1241 0.7452
0.7486 0.8745 0.2446
0.2491 0.3747 0.2452
0.2493 0.8749 0.2453
0.2498 0.6251 0.7451
0.7493 0.1248 0.7457
0.7491 0.6244 0.7444
0.1046 0.0302 0.3611
0.1307 0.8304 0.8589
0.1338 0.3086 0.8623
0.1436 0.5770 0.3480
0.3556 0.1717 0.1439
0.3657 0.9421 0.6297
0.3667 0.4175 0.6295
0.3922 0.7186 0.1281
0.6082 0.0413 0.3567
0.6083 0.3085 0.8638
0.6091 0.5710 0.3525
0.6121 0.7909 0.8613
0.8852 0.4551 0.6261
0.8886 0.1786 0.1371
0.8922 0.7082 0.1345
0.8920 0.9423 0.6291
```

Principal peaks in the range 10 to 90 degrees two-theta, low angle first:
d 4.807, intensity 1000; d 2.519, intensity 154; d 2.476, intensity 259; d 2.382, intensity 77; d 2.099, intensity 287; d 2.058, intensity 270; d 2.053, intensity 268; d 1.473, intensity 73; d 1.469, intensity 75; d 1.466, intensity 150; d 1.461, intensity 71; d 1.446, intensity 73

=====

Record 4
Simulated XRD peak list
Compound: Li2Mn3F8
Radiation: λ = 1.5418 Å (Cu Kα)
Structure: a DFT-relaxed cell (GGA+U, the Materials Project)

```
Li2Mn3F8
1.0
5.3830 0.0000 0.0000
2.6131 5.1790 0.0000
0.0217 2.1443 5.7349
Li Mn F
2 3 8
Direct
0.0610 0.4047 0.2477
0.9390 0.5953 0.7523
0.2699 0.9625 0.8544
0.5000 0.5000 0.5000
0.7301 0.0375 0.1456
0.1811 0.7366 0.1806
0.2152 0.7228 0.6878
0.2843 0.2287 0.0427
0.2877 0.2568 0.5522
0.7123 0.7432 0.4478
0.7157 0.7713 0.9573
0.7848 0.2772 0.3122
0.8189 0.2634 0.8194
```

Principal peaks in the range 10 to 90 degrees two-theta, low angle first:
d 4.578, intensity 1000; d 3.393, intensity 839; d 3.344, intensity 756; d 3.193, intensity 848; d 2.870, intensity 710; d 2.838, intensity 587; d 2.374, intensity 840; d 2.271, intensity 465; d 1.817, intensity 435; d 1.757, intensity 377; d 1.551, intensity 396; d 1.528, intensity 373